Simulated PXRD pattern of AcNi5P4 for CuKα, from a GGA-PBE-relaxed structure.

Peak list (10 most intense, 15 to 90 degrees two-theta, in order of rising 2θ)
two_theta  d/Å  I (rel.)
15.5  5.716  43.9
23.8  3.736  100.0
28.5  3.127  44.8
31.3  2.858  73.7
36.3  2.473  53.4
39.7  2.268  77.3
42.9  2.106  63.1
44.8  2.021  66.0
51.5  1.776  42.2
63.8  1.458  37.1

Atomic structure:
a = 8.084 Å, b = 8.084 Å, c = 4.936 Å
α = 90.00°, β = 90.00°, γ = 90.00°
Atoms (fractional coordinates):
1 Ac 0.250 0.750 0.000
2 Ac 0.750 0.250 0.000
3 Ni 0.005 0.005 0.256
4 Ni 0.005 0.495 0.256
5 Ni 0.250 0.250 0.300
6 Ni 0.495 0.005 0.256
7 Ni 0.495 0.495 0.256
8 Ni 0.505 0.505 0.744
9 Ni 0.505 0.995 0.744
10 Ni 0.750 0.750 0.700
11 Ni 0.995 0.505 0.744
12 Ni 0.995 0.995 0.744
13 P 0.011 0.250 0.522
14 P 0.250 0.011 0.522
15 P 0.250 0.489 0.522
16 P 0.489 0.250 0.522
17 P 0.511 0.750 0.478
18 P 0.750 0.511 0.478
19 P 0.750 0.989 0.478
20 P 0.989 0.750 0.478



Simulated PXRD pattern of Zr2InBr8 for CuKα, from a GGA-PBE-relaxed structure.

Peak list (10 most intense, 15 to 90 degrees two-theta, in order of rising 2θ)
two_theta  d/Å  I (rel.)
18.3  4.845  73.4
19.5  4.550  62.6
21.2  4.196  46.9
26.9  3.317  98.0
33.1  2.707  28.7
37.1  2.423  100.0
39.6  2.275  56.7
50.6  1.805  44.4
55.4  1.658  29.6
58.9  1.569  23.8

Atomic structure:
a = 9.690 Å, b = 9.690 Å, c = 5.415 Å
α = 90.00°, β = 90.00°, γ = 120.00°
Atoms (fractional coordinates):
1 Zr 0.333 0.667 0.245
2 Zr 0.667 0.333 0.755
3 In 0.000 0.000 0.000
4 Br 0.180 0.363 0.261
5 Br 0.182 0.820 0.261
6 Br 0.333 0.667 0.752
7 Br 0.363 0.182 0.739
8 Br 0.637 0.818 0.261
9 Br 0.667 0.333 0.248
10 Br 0.818 0.180 0.739
11 Br 0.820 0.637 0.739